[1]
The following is a theoretical powder diffraction line list of Pm5Pu3N8. It was derived from a cell relaxed with PBE, using Cu Kα X-rays.
Kinematic intensities with the Lorentz-polarization factor, no thermal factor.

Top 12 peaks for 15 to 90 degrees two-theta, most intense first:
30.82 deg, I = 1000
35.74 deg, I = 690
61.14 deg, I = 345
51.38 deg, I = 243
51.49 deg, I = 241
64.16 deg, I = 124
61.26 deg, I = 115
86.56 deg, I = 111
86.73 deg, I = 110
83.84 deg, I = 98
75.71 deg, I = 76
15.29 deg, I = 69

```
16
Lattice="3.557 2.053 5.791 -3.557 2.053 5.791 0.000 -4.107 5.791" Properties=species:S:1:pos:R:3 pbc="T T T"
Pm 0.000 0.000 0.000
Pm -1.778 -1.027 5.791
Pm -1.778 1.027 11.581
Pm 0.000 2.053 5.791
Pm 0.000 0.000 8.686
Pu -3.557 0.000 8.686
Pu -1.778 1.027 2.895
Pu 1.778 1.027 2.895
N -1.836 -1.060 10.037
N 0.000 0.000 4.225
N 0.000 -2.121 7.335
N -1.836 1.060 7.335
N 1.836 -1.060 10.037
N 0.000 2.121 10.037
N 0.000 0.000 13.147
N 1.836 1.060 7.335
```


[2]
The following is a theoretical powder diffraction line list of PmPu2RuN4. It was derived from a cell relaxed with PBE, using Cu Kα X-rays.
Kinematic intensities with the Lorentz-polarization factor, no thermal factor.

Top 12 peaks for 15 to 90 degrees two-theta, most intense first:
31.58 deg, I = 1000
38.54 deg, I = 840
27.69 deg, I = 704
30.62 deg, I = 667
48.24 deg, I = 260
41.94 deg, I = 258
36.13 deg, I = 244
30.87 deg, I = 241
50.00 deg, I = 231
53.24 deg, I = 211
53.40 deg, I = 202
54.25 deg, I = 192

```
16
Lattice="1.691 -5.839 0.000 1.691 5.839 0.000 0.000 0.000 11.587" Properties=species:S:1:pos:R:3 pbc="T T T"
Pm 1.691 4.528 8.690
Pm 1.691 -4.528 2.897
Pu 1.691 1.527 6.379
Pu 1.691 1.527 11.001
Pu 1.691 -1.527 0.586
Pu 1.691 -1.527 5.208
Ru 1.691 4.114 2.897
Ru 1.691 -4.114 8.690
N 0.000 0.000 0.000
N 0.000 0.000 5.793
N 1.691 2.704 1.364
N 1.691 2.704 4.429
N 1.691 0.514 8.690
N 1.691 -0.514 2.897
N 1.691 -2.704 7.157
N 1.691 -2.704 10.223
```